1.
For CuAg3S2, DFT lattice parameters and positions (GGA-PBE) gives the calculated X-ray diffraction stick pattern in this record (Cu Kα (λ = 1.5418 Å)).
Kinematic intensities with the Lorentz-polarization factor, no thermal factor.

Crystal structure
```
CuAg3S2
1.0
-4.373 4.373 5.954
4.373 -4.373 5.954
4.373 4.373 -5.954
Cu Ag S
4 12 8
Direct
0.028 0.278 0.750
0.278 0.028 0.250
0.722 0.972 0.750
0.972 0.722 0.250
0.000 0.500 0.500
0.061 0.311 0.121
0.061 0.939 0.750
0.311 0.061 0.621
0.311 0.689 0.250
0.500 0.000 0.000
0.500 0.500 0.000
0.500 0.500 0.500
0.689 0.311 0.750
0.689 0.939 0.379
0.939 0.061 0.250
0.939 0.689 0.879
0.212 0.713 0.499
0.286 0.287 0.999
0.287 0.286 0.499
0.287 0.788 0.001
0.713 0.212 0.999
0.713 0.714 0.501
0.714 0.713 0.001
0.788 0.287 0.501
```

Peak list (8 most intense, 10° ≤ 2θ ≤ 90°, by angle)
2theta, d_spacing, intensity
31.6, 2.832, 76
32.1, 2.786, 66
35.8, 2.508, 36
36.5, 2.461, 64
37.9, 2.377, 100
38.3, 2.350, 33
41.3, 2.186, 29
42.1, 2.145, 41

=====

2.
For SmCu4Ag, DFT lattice parameters and positions (GGA-PBE) gives the calculated X-ray diffraction stick pattern in this record (Cu Kα (λ = 1.5418 Å)).
Kinematic intensities with the Lorentz-polarization factor, no thermal factor.

Crystal structure
```
SmCu4Ag
1.0
0.000 3.607 3.607
3.607 0.000 3.607
3.607 3.607 0.000
Sm Cu Ag
1 4 1
Direct
0.000 0.000 0.000
0.376 0.376 0.376
0.376 0.376 0.871
0.376 0.871 0.376
0.871 0.376 0.376
0.750 0.750 0.750
```

Peak list (8 most intense, 10° ≤ 2θ ≤ 90°, by angle)
2theta, d_spacing, intensity
35.2, 2.550, 52
41.5, 2.175, 100
43.5, 2.082, 21
63.1, 1.472, 18
67.5, 1.388, 30
74.4, 1.275, 23
85.0, 1.141, 8
89.0, 1.100, 11

=====

3.
For SrCu4Ag, DFT lattice parameters and positions (GGA-PBE) gives the calculated X-ray diffraction stick pattern in this record (Cu Kα (λ = 1.5418 Å)).
Kinematic intensities with the Lorentz-polarization factor, no thermal factor.

Crystal structure
```
SrCu4Ag
1.0
5.022 0.000 0.000
0.000 9.887 0.000
0.000 0.000 4.178
Sr Cu Ag
2 8 2
Direct
0.000 0.000 0.000
0.500 0.500 0.000
0.000 0.308 0.000
0.000 0.692 0.000
0.250 0.250 0.500
0.250 0.750 0.500
0.500 0.192 0.000
0.500 0.808 0.000
0.750 0.250 0.500
0.750 0.750 0.500
0.000 0.500 0.500
0.500 0.000 0.500
```

Peak list (8 most intense, 10° ≤ 2θ ≤ 90°, by angle)
2theta, d_spacing, intensity
29.2, 3.055, 49
36.3, 2.472, 37
39.2, 2.300, 100
40.3, 2.239, 24
42.0, 2.152, 25
43.3, 2.089, 41
46.0, 1.973, 42
66.5, 1.406, 19